Theoretical powder diffraction line list of NaMg14W for Cu Kα (weighted mean of Kα1 and Kα2), from a structure optimized by DFT (GGA-PBE).
No peak broadening, texture or thermal motion is included.

Structure:
Cell: 10.0584 6.3112 6.3112 Å, 61.86 90.00 90.00°
Fractional coordinates of all 16 atoms:
Na: 0.0000 0.0000 0.0000
Mg: 0.0000 0.9998 0.5009
Mg: 0.0000 0.5009 0.9998
Mg: 0.2393 0.6613 0.6613
Mg: 0.2418 0.1842 0.6586
Mg: 0.2418 0.6586 0.1842
Mg: 0.2537 0.1700 0.1700
Mg: 0.5000 0.4999 0.4999
Mg: 0.5000 0.5030 0.9982
Mg: 0.5000 0.9982 0.5030
Mg: 0.5000 0.9987 0.9987
Mg: 0.7463 0.1700 0.1700
Mg: 0.7582 0.1842 0.6586
Mg: 0.7582 0.6586 0.1842
Mg: 0.7607 0.6613 0.6613
W: 0.0000 0.4940 0.4940

Main lines, low angle first (2θ from 10° to 90°):
d (Å), 2theta, I_rel
5.565, 15.93, 43
4.869, 18.22, 58
4.767, 18.61, 26
2.515, 35.71, 34
2.435, 36.92, 100
2.384, 37.74, 43